The following is a theoretical PXRD pattern of La4Nd4S4O7. It was derived from a crystal structure in Alexandria, relaxed with PBE, using Cu Kα X-rays.

Cell: 13.7936 8.0518 9.8100 Å, 90.00 134.66 90.00°
Space group Cm (No. 8)
Inequivalent atoms, fractional coordinates:
La 0.0000 0.0000 0.0000 (multiplicity 2)
La 0.0051 0.5000 0.0123 (multiplicity 2)
La 0.2459 0.2595 0.4936 (multiplicity 4)
Nd 0.1057 0.0000 0.6663 (multiplicity 2)
Nd 0.1132 0.5000 0.6675 (multiplicity 2)
Nd 0.3631 0.2510 0.1664 (multiplicity 4)
S 0.0566 0.2535 0.8332 (multiplicity 4)
S 0.3099 0.0000 0.3355 (multiplicity 2)
S 0.3111 0.5000 0.3306 (multiplicity 2)
O 0.0350 0.2473 0.1659 (multiplicity 4)
O 0.0790 0.2459 0.5043 (multiplicity 4)
O 0.2874 0.5000 0.6696 (multiplicity 2)
O 0.3227 0.5000 0.9984 (multiplicity 2)
O 0.3236 0.0000 0.9929 (multiplicity 2)

Main lines, in order of rising 2θ (10 to 90 degrees two-theta):
25.5 deg, I = 185
25.8 deg, I = 213
28.7 deg, I = 1000
36.6 deg, I = 298
45.0 deg, I = 311
47.4 deg, I = 248
52.6 deg, I = 184
54.3 deg, I = 169

---

The following is a theoretical PXRD pattern of LaNd2TcO8. It was derived from a crystal structure in Alexandria, relaxed with PBE, using Cu Kα X-rays.

Cell: 7.3587 7.3630 7.0765 Å, 90.00 90.03 90.00°
Space group C2/m (No. 12)
Inequivalent atoms, fractional coordinates:
La 0.0000 0.0000 0.0000 (multiplicity 2)
Nd 0.0004 0.5000 0.2530 (multiplicity 4)
Tc 0.0000 0.0000 0.5000 (multiplicity 2)
O 0.9999 0.1787 0.3022 (multiplicity 8)
O 0.1891 0.5000 0.9998 (multiplicity 4)
O 0.2427 0.5000 0.5005 (multiplicity 4)

Main lines, in order of rising 2θ (10 to 90 degrees two-theta):
24.2 deg, I = 1000
30.6 deg, I = 882
34.5 deg, I = 244
46.7 deg, I = 686
49.5 deg, I = 169
55.9 deg, I = 163
57.8 deg, I = 171
59.3 deg, I = 197

---

The following is a theoretical PXRD pattern of La12NdTl4O3. It was derived from a crystal structure in Alexandria, relaxed with PBE, using Cu Kα X-rays.

Cell: 10.4561 10.4561 10.4561 Å, 90.00 90.00 90.00°
Space group Im-3m (No. 229)
Inequivalent atoms, fractional coordinates:
La 0.0000 0.0000 0.2717 (multiplicity 12)
La 0.0000 0.2500 0.5000 (multiplicity 12)
Nd 0.0000 0.0000 0.0000 (multiplicity 2)
Tl 0.2500 0.2500 0.2500 (multiplicity 8)
O 0.0000 0.0000 0.5000 (multiplicity 6)

Main lines, in order of rising 2θ (10 to 90 degrees two-theta):
24.1 deg, I = 110
29.6 deg, I = 1000
34.3 deg, I = 700
49.3 deg, I = 487
58.6 deg, I = 414
61.4 deg, I = 162
80.0 deg, I = 158
82.5 deg, I = 200

---

The following is a theoretical PXRD pattern of LaNdUO6. It was derived from a crystal structure in Alexandria, relaxed with PBE, using Cu Kα X-rays.

Cell: 5.9949 5.9949 9.6766 Å, 90.00 90.00 120.00°
Space group P-31c (No. 163)
Inequivalent atoms, fractional coordinates:
La 0.0000 0.0000 0.0000 (multiplicity 2)
Nd 0.3333 0.6667 0.2500 (multiplicity 2)
U 0.3333 0.6667 0.7500 (multiplicity 2)
O 0.0348 0.3681 0.6362 (multiplicity 12)

Main lines, in order of rising 2θ (10 to 90 degrees two-theta):
18.3 deg, I = 206
25.2 deg, I = 1000
29.8 deg, I = 655
35.2 deg, I = 237
39.4 deg, I = 305
48.3 deg, I = 499
50.2 deg, I = 308
52.9 deg, I = 215

---

The following is a theoretical PXRD pattern of La3NdOs. It was derived from a crystal structure in Alexandria, relaxed with PBE, using Cu Kα X-rays.

Cell: 7.9699 6.7767 6.5858 Å, 90.00 90.00 90.00°
Space group Pmn2_1 (No. 31)
Inequivalent atoms, fractional coordinates:
La 0.0000 0.1588 0.0000 (multiplicity 2)
La 0.2487 0.6760 0.9948 (multiplicity 4)
Nd 0.0000 0.8356 0.4950 (multiplicity 2)
Os 0.0000 0.4930 0.2420 (multiplicity 2)

Main lines, in order of rising 2θ (10 to 90 degrees two-theta):
17.5 deg, I = 267
21.9 deg, I = 294
29.3 deg, I = 1000
29.7 deg, I = 460
37.8 deg, I = 450
38.1 deg, I = 238
46.2 deg, I = 330
49.3 deg, I = 236

---

The following is a theoretical PXRD pattern of La3Nd2Os2. It was derived from a crystal structure in Alexandria, relaxed with PBE, using Cu Kα X-rays.

Cell: 12.4706 4.0559 8.9044 Å, 90.00 113.73 90.00°
Space group C2/m (No. 12)
Inequivalent atoms, fractional coordinates:
La 0.0000 0.0000 0.0000 (multiplicity 2)
La 0.1207 0.0000 0.4238 (multiplicity 4)
Nd 0.1705 0.5000 0.8126 (multiplicity 4)
Os 0.1793 0.5000 0.2285 (multiplicity 4)

Main lines, in order of rising 2θ (10 to 90 degrees two-theta):
29.8 deg, I = 553
30.8 deg, I = 1000
31.7 deg, I = 783
32.3 deg, I = 866
33.3 deg, I = 989
34.3 deg, I = 639
38.0 deg, I = 738
56.4 deg, I = 562

---

The following is a theoretical PXRD pattern of La3NdTlOs. It was derived from a crystal structure in Alexandria, relaxed with PBE, using Cu Kα X-rays.

Cell: 16.3741 7.7775 6.2534 Å, 90.00 110.22 90.00°
Space group C2/m (No. 12)
Inequivalent atoms, fractional coordinates:
La 0.1181 0.2435 0.1043 (multiplicity 8)
La 0.1733 0.0000 0.6516 (multiplicity 4)
Nd 0.0000 0.3051 0.5000 (multiplicity 4)
Tl 0.1961 0.5000 0.7004 (multiplicity 4)
Os 0.0004 0.0000 0.2426 (multiplicity 4)

Main lines, in order of rising 2θ (10 to 90 degrees two-theta):
12.8 deg, I = 329
28.6 deg, I = 390
32.0 deg, I = 1000
32.6 deg, I = 659
33.0 deg, I = 362
35.1 deg, I = 350
38.4 deg, I = 372
39.1 deg, I = 297

---

The following is a theoretical PXRD pattern of LaNd3P4. It was derived from a crystal structure in Alexandria, relaxed with PBE, using Cu Kα X-rays.

Cell: 5.9316 5.9316 5.9316 Å, 90.00 90.00 90.00°
Space group Pm-3m (No. 221)
Inequivalent atoms, fractional coordinates:
La 0.0000 0.0000 0.0000 (multiplicity 1)
Nd 0.0000 0.5000 0.5000 (multiplicity 3)
P 0.0000 0.0000 0.5000 (multiplicity 3)
P 0.5000 0.5000 0.5000 (multiplicity 1)

Main lines, in order of rising 2θ (10 to 90 degrees two-theta):
26.0 deg, I = 782
30.1 deg, I = 1000
43.1 deg, I = 736
51.1 deg, I = 390
53.5 deg, I = 259
69.0 deg, I = 157
71.1 deg, I = 330
79.1 deg, I = 247